Diffraction record for Lu2Si4Mo3. The PXRD pattern is computed, not measured: it uses a crystal structure in the Materials Project, relaxed with PBE and Cu Kα, 1.54184 Å.
Lines closer than 0.1° are merged.

The 8 most intense peaks (5 to 70 degrees two-theta), most intense first:
(1 3 2), 35.97°, I = 100; (2 3 1), 36.45°, I = 99; (3 0 1), 42.55°, I = 40; (2 1 1), 30.46°, I = 37; (1 1 2), 29.90°, I = 35; (0 4 2), 38.24°, I = 30; (3 4 3), 64.99°, I = 29; (1 0 3), 41.43°, I = 24

Atomic structure:
```
data_Lu2Si4Mo3
_chemical_formula_sum 'Lu8 Si16 Mo12'
_cell_length_a 6.6982
_cell_length_b 12.8498
_cell_length_c 6.9156
_cell_angle_alpha 90.00
_cell_angle_beta 90.00
_cell_angle_gamma 90.00
_symmetry_space_group_name_H-M 'P n m a'
_symmetry_Int_Tables_number 62
loop_
_symmetry_equiv_pos_as_xyz
'x,y,z'
'-x,-y,-z'
'-x+1/2,-y,z+1/2'
'x+1/2,y,-z+1/2'
'x+1/2,-y+1/2,-z+1/2'
'-x+1/2,y+1/2,z+1/2'
'-x,y+1/2,-z'
'x,-y+1/2,z'
loop_
_atom_site_label
_atom_site_fract_x
_atom_site_fract_y
_atom_site_fract_z
_atom_site_occupancy
Lu1 0.0029 0.0935 0.1686 1
Si1 0.0338 0.2500 0.8696 1
Si2 0.1613 0.0463 0.5399 1
Si3 0.1989 0.7500 0.6329 1
Mo1 0.1661 0.2500 0.4960 1
Mo2 0.1704 0.6245 0.3339 1
```



Diffraction record for NaCdSbS3. The PXRD pattern is computed, not measured: it uses a crystal structure in the Materials Project, relaxed with PBE and Cu Kα, 1.54184 Å.
Lines closer than 0.1° are merged.

The 8 most intense peaks (5 to 70 degrees two-theta), most intense first:
(2 2 -1), 30.55°, I = 100; (0 2 3), 26.69°, I = 55; (0 0 6), 31.91°, I = 45; (2 2 -7), 44.95°, I = 31; (2 2 5), 44.56°, I = 30; (1 1 -2), 17.15°, I = 23; (0 0 2), 10.51°, I = 23; (4 0 4), 54.98°, I = 19

Atomic structure:
```
data_NaCdSbS3
_chemical_formula_sum 'Na8 Cd8 Sb8 S24'
_cell_length_a 8.2363
_cell_length_b 8.3193
_cell_length_c 17.2783
_cell_angle_alpha 90.00
_cell_angle_beta 103.11
_cell_angle_gamma 90.00
_symmetry_space_group_name_H-M 'C 1 2/c 1'
_symmetry_Int_Tables_number 15
loop_
_symmetry_equiv_pos_as_xyz
'x,y,z'
'-x,-y,-z'
'-x,y,-z+1/2'
'x,-y,z+1/2'
'x+1/2,y+1/2,z'
'-x+1/2,-y+1/2,-z'
'-x+1/2,y+1/2,-z+1/2'
'x+1/2,-y+1/2,z+1/2'
loop_
_atom_site_label
_atom_site_fract_x
_atom_site_fract_y
_atom_site_fract_z
_atom_site_occupancy
Na1 0.1613 0.1506 0.0786 1
Cd1 0.0000 0.1194 0.7500 1
Cd2 0.0000 0.3854 0.2500 1
Sb1 0.1770 0.3747 0.5936 1
S1 0.0508 0.4340 0.4017 1
S2 0.0980 0.0743 0.9030 1
S3 0.2476 0.3301 0.7402 1
```



Diffraction record for SmNi2As2. The PXRD pattern is computed, not measured: it uses a crystal structure in the Materials Project, relaxed with PBE and Cu Kα, 1.54184 Å.
Lines closer than 0.1° are merged.

The 8 most intense peaks (5 to 70 degrees two-theta), most intense first:
(1 0 3), 34.72°, I = 100; (1 1 2), 35.96°, I = 91; (2 0 0), 44.48°, I = 64; (2 1 3), 57.63°, I = 46; (1 1 0), 31.05°, I = 28; (1 0 5), 50.75°, I = 26; (1 1 6), 64.47°, I = 21; (2 2 0), 64.72°, I = 20

Atomic structure:
```
data_SmNi2As2
_chemical_formula_sum 'Sm2 Ni4 As4'
_cell_length_a 4.0738
_cell_length_b 4.0738
_cell_length_c 10.0254
_cell_angle_alpha 90.00
_cell_angle_beta 90.00
_cell_angle_gamma 90.00
_symmetry_space_group_name_H-M 'I 4/m m m'
_symmetry_Int_Tables_number 139
_symmetry_space_group_name_Hall '-I 4 2'
loop_
_atom_site_label
_atom_site_fract_x
_atom_site_fract_y
_atom_site_fract_z
_atom_site_occupancy
Sm1 0.0000 0.0000 0.0000 1
Ni1 0.0000 0.5000 0.2500 1
As1 0.0000 0.0000 0.3695 1
```



Diffraction record for KMg3AlSi3H2O12. The PXRD pattern is computed, not measured: it uses a crystal structure in the Materials Project, relaxed with PBE and Cu Kα, 1.54184 Å.
Lines closer than 0.1° are merged.

The 8 most intense peaks (5 to 70 degrees two-theta), most intense first:
(0 0 1), 8.51°, I = 100; (0 0 3), 25.73°, I = 94; (2 1 1), 33.86°, I = 52; (3 0 0), 59.73°, I = 50; (1 1 -2), 28.01°, I = 49; (0 1 2), 23.69°, I = 47; (-1 1 3), 40.65°, I = 34; (1 1 3), 29.67°, I = 33

Atomic structure:
```
data_KMg3AlSi3H2O12
_chemical_formula_sum 'K1 Mg3 Al1 Si3 H2 O12'
_cell_length_a 5.3615
_cell_length_b 5.3638
_cell_length_c 10.5792
_cell_angle_alpha 79.11
_cell_angle_beta 84.57
_cell_angle_gamma 60.02
_symmetry_space_group_name_H-M 'P 1'
_symmetry_Int_Tables_number 1
loop_
_symmetry_equiv_pos_as_xyz
'x,y,z'
loop_
_atom_site_label
_atom_site_fract_x
_atom_site_fract_y
_atom_site_fract_z
_atom_site_occupancy
K1 0.0000 0.0000 0.0000 1
Mg1 0.3380 0.8324 0.5276 1
Mg2 0.6671 0.1649 0.5266 1
Mg3 0.9988 0.5089 0.5270 1
Al1 0.6668 0.7393 0.7897 1
Si1 0.3327 0.2722 0.2560 1
Si2 0.3346 0.4036 0.7940 1
Si3 0.6655 0.6043 0.2562 1
H1 0.0004 0.1024 0.7123 1
H2 0.0130 0.9076 0.3264 1
O1 0.0010 0.1376 0.6193 1
O2 0.0065 0.8738 0.4194 1
O3 0.0136 0.4721 0.8488 1
O4 0.3323 0.2177 0.4109 1
O5 0.3361 0.4617 0.6337 1
O6 0.4221 0.6151 0.8497 1
O7 0.4878 0.9601 0.1974 1
O8 0.5099 0.4501 0.1957 1
O9 0.5657 0.0628 0.8499 1
O10 0.6654 0.5442 0.4111 1
O11 0.6656 0.8011 0.6212 1
O12 0.9989 0.4716 0.1971 1
```



Diffraction record for Sm3Si2Ni. The PXRD pattern is computed, not measured: it uses a crystal structure in the Materials Project, relaxed with PBE and Cu Kα, 1.54184 Å.
Lines closer than 0.1° are merged.

The 8 most intense peaks (5 to 70 degrees two-theta), most intense first:
(0 1 3), 32.11°, I = 100; (2 1 1), 27.81°, I = 69; (3 1 2), 35.81°, I = 68; (3 0 2), 28.29°, I = 55; (3 1 1), 33.02°, I = 50; (0 2 0), 43.82°, I = 49; (2 1 2), 31.05°, I = 49; (1 0 4), 32.57°, I = 44

Atomic structure:
```
data_Sm3Si2Ni
_chemical_formula_sum 'Sm12 Si8 Ni4'
_cell_length_a 11.3944
_cell_length_b 4.1318
_cell_length_c 11.3301
_cell_angle_alpha 90.00
_cell_angle_beta 90.00
_cell_angle_gamma 90.00
_symmetry_space_group_name_H-M 'P n m a'
_symmetry_Int_Tables_number 62
loop_
_symmetry_equiv_pos_as_xyz
'x,y,z'
'-x,-y,-z'
'-x+1/2,-y,z+1/2'
'x+1/2,y,-z+1/2'
'x+1/2,-y+1/2,-z+1/2'
'-x+1/2,y+1/2,z+1/2'
'-x,y+1/2,-z'
'x,-y+1/2,z'
loop_
_atom_site_label
_atom_site_fract_x
_atom_site_fract_y
_atom_site_fract_z
_atom_site_occupancy
Sm1 0.0582 0.2500 0.1241 1
Sm2 0.1173 0.7500 0.5593 1
Sm3 0.2140 0.2500 0.8033 1
Si1 0.0278 0.7500 0.3138 1
Si2 0.1988 0.7500 0.9934 1
Ni1 0.1290 0.2500 0.3662 1
```



Diffraction record for Sr2SmTaCu2O8. The PXRD pattern is computed, not measured: it uses a crystal structure in the Materials Project, relaxed with PBE and Cu Kα, 1.54184 Å.
Lines closer than 0.1° are merged.

The 8 most intense peaks (5 to 70 degrees two-theta), most intense first:
(2 0 2), 32.18°, I = 100; (2 2 -1), 32.43°, I = 54; (0 4 0), 46.53°, I = 32; (2 0 -2), 23.99°, I = 28; (4 2 1), 57.65°, I = 21; (2 4 -4), 57.74°, I = 19; (0 0 2), 14.90°, I = 14; (4 4 -2), 67.91°, I = 9

Atomic structure:
```
data_Sr2SmTaCu2O8
_chemical_formula_sum 'Sr8 Sm4 Ta4 Cu8 O32'
_cell_length_a 7.8103
_cell_length_b 7.8055
_cell_length_c 12.5089
_cell_angle_alpha 90.00
_cell_angle_beta 108.04
_cell_angle_gamma 90.00
_symmetry_space_group_name_H-M 'C 1 2/m 1'
_symmetry_Int_Tables_number 12
loop_
_symmetry_equiv_pos_as_xyz
'x,y,z'
'-x,-y,-z'
'-x,y,-z'
'x,-y,z'
'x+1/2,y+1/2,z'
'-x+1/2,-y+1/2,-z'
'-x+1/2,y+1/2,-z'
'x+1/2,-y+1/2,z'
loop_
_atom_site_label
_atom_site_fract_x
_atom_site_fract_y
_atom_site_fract_z
_atom_site_occupancy
Sr1 0.0978 0.0000 0.2010 1
Sr2 0.0980 0.5000 0.2018 1
Sm1 0.2495 0.0000 0.4999 1
Ta1 0.2500 0.2500 0.0000 1
Cu1 0.0753 0.2502 0.6443 1
O1 0.0000 0.1887 0.0000 1
O2 0.0584 0.0000 0.6254 1
O3 0.0724 0.5000 0.6284 1
O4 0.1699 0.2446 0.8342 1
O5 0.1834 0.2561 0.3720 1
O6 0.1867 0.5000 0.9954 1
```